Diffraction record for NaAsH4O5. The X-ray diffraction stick pattern is calculated, not measured: it uses a structure optimized by DFT (GGA-PBE) and Cu Ka.
No peak broadening, texture or thermal motion is included.

Structure:
```
data_NaAsH4O5
_chemical_formula_sum 'Na2 As2 H8 O10'
_cell_length_a 5.6342
_cell_length_b 7.1861
_cell_length_c 5.9381
_cell_angle_alpha 90.00
_cell_angle_beta 93.05
_cell_angle_gamma 90.00
_symmetry_space_group_name_H-M 'P 1 21/m 1'
_symmetry_Int_Tables_number 11
loop_
_symmetry_equiv_pos_as_xyz
'x,y,z'
'-x,-y,-z'
'-x,y+1/2,-z'
'x,-y+1/2,z'
loop_
_atom_site_label
_atom_site_fract_x
_atom_site_fract_y
_atom_site_fract_z
Na1 0.0000 0.0000 0.0000
As1 0.3183 0.2500 0.5261
H1 0.2625 0.5585 0.4211
H2 0.3208 0.7500 0.7906
H3 0.4359 0.7500 0.0372
O1 0.1992 0.0667 0.3601
O2 0.2455 0.2500 0.7967
O3 0.2808 0.7500 0.9517
O4 0.3781 0.7500 0.5023
```

Top 8 peaks for 10 to 80 degrees two-theta, sorted by position:
hkl 0 0 1, 2θ 14.94, d = 5.930 Å, intensity 100; hkl 1 1 0, 2θ 20.04, d = 4.430 Å, intensity 91; hkl 1 1 -1, 2θ 24.57, d = 3.622 Å, intensity 85; hkl 0 2 0, 2θ 24.78, d = 3.593 Å, intensity 41; hkl 1 1 1, 2θ 25.60, d = 3.480 Å, intensity 54; hkl 0 2 1, 2θ 29.06, d = 3.073 Å, intensity 47; hkl 1 2 0, 2θ 29.50, d = 3.028 Å, intensity 50; hkl 0 0 2, 2θ 30.14, d = 2.965 Å, intensity 43